La2Al5Ag4: computed powder X-ray diffraction pattern (copper Kα), based on a crystal structure in Alexandria, relaxed with PBE.
No peak broadening, texture or thermal motion is included.

Crystal structure
abc: 5.562 8.904 9.528
angles: 90.00 90.00 90.00
Space group Immm (No. 71)
Inequivalent atoms, fractional coordinates:
La  0.000  0.232  0.000 x4
Al  0.000  0.500  0.500 x2
Al  0.248  0.500  0.241 x8
Ag  0.000  0.244  0.336 x8

Peak list (6 most intense, 15° ≤ 2θ ≤ 90°, in order of rising 2θ)
- 2θ = 19.9°, d = 4.452 Å, I 80.5
- 2θ = 32.2°, d = 2.781 Å, I 30.4
- 2θ = 32.5°, d = 2.758 Å, I 69.8
- 2θ = 38.2°, d = 2.359 Å, I 58.6
- 2θ = 38.4°, d = 2.344 Å, I 100.0
- 2θ = 52.9°, d = 1.732 Å, I 30.8

---

La4AlAg3: computed powder X-ray diffraction pattern (copper Kα), based on a crystal structure in Alexandria, relaxed with PBE.
No peak broadening, texture or thermal motion is included.

Crystal structure
abc: 5.4058 5.4058 26.5638
angles: 90.00 90.00 120.00
Space group R-3m (No. 166, hexagonal axes)
Inequivalent atoms, fractional coordinates:
La  0.0000  0.0000  0.1241 x6
La  0.0000  0.0000  0.3753 x6
Al  0.0000  0.0000  0.5000 x3
Ag  0.0000  0.0000  0.0000 x3
Ag  0.0000  0.0000  0.2464 x6

Peak list (6 most intense, 15° ≤ 2θ ≤ 90°, in order of rising 2θ)
- 2θ = 33.1°, d = 2.706 Å, I 100.0
- 2θ = 47.5°, d = 1.913 Å, I 17.8
- 2θ = 59.0°, d = 1.565 Å, I 8.9
- 2θ = 59.2°, d = 1.561 Å, I 27.3
- 2θ = 79.1°, d = 1.211 Å, I 7.5
- 2θ = 79.2°, d = 1.209 Å, I 7.7

---

LaAlAg3: computed powder X-ray diffraction pattern (copper Kα), based on a crystal structure in Alexandria, relaxed with PBE.
No peak broadening, texture or thermal motion is included.

Crystal structure
abc: 6.183 6.206 11.650
angles: 90.00 90.00 90.00
Space group Fmm2 (No. 42)
Inequivalent atoms, fractional coordinates:
La  0.000  0.000  0.000 x4
Al  0.000  0.000  0.617 x4
Ag  0.000  0.000  0.397 x4
Ag  0.250  0.250  0.240 x8

Peak list (6 most intense, 15° ≤ 2θ ≤ 90°, in order of rising 2θ)
- 2θ = 30.8°, d = 2.908 Å, I 43.3
- 2θ = 32.7°, d = 2.735 Å, I 100.0
- 2θ = 41.2°, d = 2.190 Å, I 39.6
- 2θ = 42.6°, d = 2.122 Å, I 11.8
- 2θ = 44.0°, d = 2.057 Å, I 19.3
- 2θ = 52.3°, d = 1.751 Å, I 17.1

---

La2Al3TlAg4: computed powder X-ray diffraction pattern (copper Kα), based on a crystal structure in Alexandria, relaxed with PBE.
No peak broadening, texture or thermal motion is included.

Crystal structure
abc: 4.527 4.527 11.097
angles: 90.00 90.00 90.00
Space group P-4m2 (No. 115)
Inequivalent atoms, fractional coordinates:
La  0.000  0.500  0.240 x2
Al  0.000  0.500  0.877 x2
Al  0.500  0.500  0.500 x1
Tl  0.000  0.000  0.500 x1
Ag  0.000  0.000  0.000 x1
Ag  0.000  0.500  0.649 x2
Ag  0.500  0.500  0.000 x1

Peak list (6 most intense, 15° ≤ 2θ ≤ 90°, in order of rising 2θ)
- 2θ = 31.2°, d = 2.865 Å, I 28.4
- 2θ = 32.3°, d = 2.773 Å, I 100.0
- 2θ = 39.8°, d = 2.264 Å, I 41.7
- 2θ = 45.5°, d = 1.993 Å, I 20.7
- 2θ = 57.6°, d = 1.601 Å, I 21.9
- 2θ = 67.6°, d = 1.386 Å, I 28.0

---

LaAl2TlAg: computed powder X-ray diffraction pattern (copper Kα), based on a crystal structure in Alexandria, relaxed with PBE.
No peak broadening, texture or thermal motion is included.

Crystal structure
abc: 5.131 5.131 6.103
angles: 90.00 90.00 90.00
Space group P4/mmm (No. 123)
Inequivalent atoms, fractional coordinates:
La  0.000  0.000  0.000 x1
Al  0.000  0.500  0.500 x2
Tl  0.000  0.000  0.500 x1
Ag  0.500  0.500  0.000 x1

Peak list (6 most intense, 15° ≤ 2θ ≤ 90°, in order of rising 2θ)
- 2θ = 17.3°, d = 5.131 Å, I 72.5
- 2θ = 24.5°, d = 3.628 Å, I 100.0
- 2θ = 29.3°, d = 3.051 Å, I 52.8
- 2θ = 35.0°, d = 2.566 Å, I 65.8
- 2θ = 38.6°, d = 2.335 Å, I 62.1
- 2θ = 46.2°, d = 1.964 Å, I 59.8

---

Li4AlAg4: computed powder X-ray diffraction pattern (copper Kα), based on a crystal structure in Alexandria, relaxed with PBE.
No peak broadening, texture or thermal motion is included.

Crystal structure
abc: 8.199 8.199 4.352
angles: 90.00 90.00 90.00
Space group I4/mmm (No. 139)
Inequivalent atoms, fractional coordinates:
Li  0.166  0.166  0.000 x8
Al  0.000  0.000  0.500 x2
Ag  0.000  0.325  0.500 x8

Peak list (6 most intense, 15° ≤ 2θ ≤ 90°, in order of rising 2θ)
- 2θ = 15.3°, d = 5.798 Å, I 60.0
- 2θ = 23.1°, d = 3.844 Å, I 31.8
- 2θ = 30.8°, d = 2.899 Å, I 21.2
- 2θ = 31.9°, d = 2.804 Å, I 58.3
- 2θ = 38.9°, d = 2.315 Å, I 100.0
- 2θ = 47.0°, d = 1.933 Å, I 28.1